1.
This entry pairs a crystal structure of Tb4Pm9Er11 with its calculated XRD peak list. Radiation: Cu Kα, 1.54184 Å. Structure: a cell relaxed with PBE.
Lines closer than 0.1° are merged.

Lattice parameters (Å, degrees): 15.148 15.148 3.704 90.00 90.00 113.16
Element x y z (fractional)
1 Tb 0.054 0.255 0.000
2 Tb 0.255 0.054 0.000
3 Tb 0.745 0.946 0.000
4 Tb 0.946 0.745 0.000
5 Pm 0.000 0.000 0.000
6 Pm 0.131 0.662 0.000
7 Pm 0.287 0.434 0.000
8 Pm 0.338 0.869 0.000
9 Pm 0.434 0.287 0.000
10 Pm 0.566 0.713 0.000
11 Pm 0.662 0.131 0.000
12 Pm 0.713 0.566 0.000
13 Pm 0.869 0.338 0.000
14 Er 0.094 0.454 0.500
15 Er 0.134 0.866 0.500
16 Er 0.211 0.211 0.500
17 Er 0.340 0.660 0.500
18 Er 0.454 0.094 0.500
19 Er 0.500 0.500 0.500
20 Er 0.546 0.906 0.500
21 Er 0.660 0.340 0.500
22 Er 0.789 0.789 0.500
23 Er 0.866 0.134 0.500
24 Er 0.906 0.546 0.500

The 10 most intense peaks (10 to 90 degrees two-theta), sorted by position:
2θ = 29.9°, I 258; 2θ = 30.2°, I 945; 2θ = 30.9°, I 262; 2θ = 32.2°, I 927; 2θ = 32.3°, I 1000; 2θ = 34.0°, I 138; 2θ = 49.2°, I 213; 2θ = 55.0°, I 147; 2θ = 58.8°, I 287; 2θ = 62.8°, I 121

2.
This entry pairs a crystal structure of SmGa2Ni9 with its calculated XRD peak list. Radiation: Cu Kα, 1.54184 Å. Structure: a cell relaxed with PBE.
Lines closer than 0.1° are merged.

Lattice parameters (Å, degrees): 8.056 8.056 4.792 90.00 90.00 90.00
Element x y z (fractional)
1 Sm 0.000 0.000 0.000
2 Sm 0.500 0.500 0.000
3 Ga 0.122 0.378 0.000
4 Ga 0.378 0.878 0.000
5 Ga 0.622 0.122 0.000
6 Ga 0.878 0.622 0.000
7 Ni 0.000 0.500 0.500
8 Ni 0.066 0.209 0.500
9 Ni 0.177 0.677 0.241
10 Ni 0.177 0.677 0.759
11 Ni 0.209 0.934 0.500
12 Ni 0.291 0.434 0.500
13 Ni 0.323 0.177 0.241
14 Ni 0.323 0.177 0.759
15 Ni 0.434 0.709 0.500
16 Ni 0.500 0.000 0.500
17 Ni 0.566 0.291 0.500
18 Ni 0.677 0.823 0.241
19 Ni 0.677 0.823 0.759
20 Ni 0.709 0.566 0.500
21 Ni 0.791 0.066 0.500
22 Ni 0.823 0.323 0.241
23 Ni 0.823 0.323 0.759
24 Ni 0.934 0.791 0.500

The 10 most intense peaks (10 to 90 degrees two-theta), sorted by position:
2θ = 35.2°, I 209; 2θ = 36.7°, I 290; 2θ = 40.1°, I 1000; 2θ = 44.0°, I 358; 2θ = 44.8°, I 317; 2θ = 45.5°, I 648; 2θ = 46.5°, I 393; 2θ = 50.7°, I 176; 2θ = 69.5°, I 162; 2θ = 71.5°, I 160

3.
This entry pairs a crystal structure of SrCa2 with its calculated XRD peak list. Radiation: Cu Kα, 1.54184 Å. Structure: a cell relaxed with PBE.
Lines closer than 0.1° are merged.

Lattice parameters (Å, degrees): 6.480 6.480 3.871 90.00 90.00 120.00
Element x y z (fractional)
1 Sr 0.000 0.000 0.000
2 Ca 0.333 0.667 0.500
3 Ca 0.667 0.333 0.500

The 10 most intense peaks (10 to 90 degrees two-theta), sorted by position:
2θ = 15.8°, I 218; 2θ = 27.5°, I 922; 2θ = 28.0°, I 1000; 2θ = 39.7°, I 382; 2θ = 48.7°, I 178; 2θ = 49.0°, I 405; 2θ = 55.3°, I 239; 2θ = 56.8°, I 110; 2θ = 64.5°, I 172; 2θ = 69.9°, I 114